1.
The following is a computed powder X-ray diffraction pattern of BaCe2C2N6. It was derived from a cell relaxed with GGA-PBE, using λ = 1.5418 Å (Cu Kα).

Cell and atoms:
a b c (Å): 5.5669 5.8059 6.3749
angles (deg): 97.99 114.43 107.80
Positions (direct):
Ba: 0.0000 0.0000 0.0000
Ce: 0.3633 0.2971 0.6721
Ce: 0.6367 0.7029 0.3279
C: 0.3117 0.7533 0.7130
C: 0.6883 0.2467 0.2870
N: 0.1143 0.8550 0.6224
N: 0.3683 0.6776 0.9165
N: 0.4606 0.7168 0.5945
N: 0.5394 0.2832 0.4055
N: 0.6317 0.3224 0.0835
N: 0.8857 0.1450 0.3776

Most intense lines, 2θ = 15–90°, low angle first:
- 2θ = 19.77°, d = 4.491 Å, I 100
- 2θ = 26.70°, d = 3.339 Å, I 95
- 2θ = 28.51°, d = 3.131 Å, I 57
- 2θ = 30.58°, d = 2.924 Å, I 55
- 2θ = 31.63°, d = 2.829 Å, I 43
- 2θ = 32.91°, d = 2.722 Å, I 42
- 2θ = 33.92°, d = 2.643 Å, I 32
- 2θ = 36.16°, d = 2.484 Å, I 26
- 2θ = 37.98°, d = 2.369 Å, I 25
- 2θ = 49.47°, d = 1.842 Å, I 29

---

2.
The following is a computed powder X-ray diffraction pattern of PrBPPt6. It was derived from a cell relaxed with GGA-PBE, using λ = 1.5418 Å (Cu Kα).

Cell and atoms:
a b c (Å): 7.7907 7.7907 7.7907
angles (deg): 122.45 118.48 89.22
Positions (direct):
Pr: 0.4100 0.1600 0.2500
Pr: 0.5900 0.8400 0.7500
B: 0.0000 0.5000 0.5000
B: 0.5000 0.5000 0.0000
P: 0.0000 0.0000 0.5000
P: 0.0000 0.5000 0.0000
Pt: 0.0977 0.4100 0.2609
Pt: 0.0977 0.8368 0.6877
Pt: 0.1200 0.8700 0.2500
Pt: 0.3192 0.5692 0.7500
Pt: 0.3509 0.1632 0.7609
Pt: 0.3509 0.5900 0.1877
Pt: 0.6491 0.4100 0.8123
Pt: 0.6491 0.8368 0.2391
Pt: 0.6808 0.4308 0.2500
Pt: 0.8800 0.1300 0.7500
Pt: 0.9023 0.1632 0.3123
Pt: 0.9023 0.5900 0.7391

Most intense lines, 2θ = 15–90°, low angle first:
- 2θ = 22.85°, d = 3.891 Å, I 12
- 2θ = 32.28°, d = 2.773 Å, I 43
- 2θ = 32.80°, d = 2.731 Å, I 100
- 2θ = 35.21°, d = 2.549 Å, I 25
- 2θ = 43.71°, d = 2.071 Å, I 16
- 2θ = 45.53°, d = 1.992 Å, I 22
- 2θ = 46.68°, d = 1.946 Å, I 59
- 2θ = 48.55°, d = 1.875 Å, I 14
- 2θ = 56.91°, d = 1.618 Å, I 13
- 2θ = 71.95°, d = 1.312 Å, I 10

---

3.
The following is a computed powder X-ray diffraction pattern of La12Fe5P. It was derived from a cell relaxed with GGA-PBE, using λ = 1.5418 Å (Cu Kα).

Cell and atoms:
a b c (Å): 9.1084 9.1084 6.9968
angles (deg): 90.00 90.00 120.00
Positions (direct):
La: 0.2048 0.4096 0.2452
La: 0.2048 0.4096 0.7548
La: 0.2048 0.7952 0.2452
La: 0.2048 0.7952 0.7548
La: 0.4096 0.2048 0.2452
La: 0.4096 0.2048 0.7548
La: 0.5904 0.7952 0.2452
La: 0.5904 0.7952 0.7548
La: 0.7952 0.2048 0.2452
La: 0.7952 0.2048 0.7548
La: 0.7952 0.5904 0.2452
La: 0.7952 0.5904 0.7548
Fe: 0.0000 0.5000 0.0000
Fe: 0.3333 0.6667 0.5000
Fe: 0.5000 0.0000 0.0000
Fe: 0.5000 0.5000 0.0000
Fe: 0.6667 0.3333 0.5000
P: 0.0000 0.0000 0.5000

Most intense lines, 2θ = 15–90°, low angle first:
- 2θ = 22.54°, d = 3.944 Å, I 31
- 2θ = 25.46°, d = 3.498 Å, I 45
- 2θ = 29.97°, d = 2.981 Å, I 73
- 2θ = 34.26°, d = 2.617 Å, I 52
- 2θ = 39.58°, d = 2.277 Å, I 26
- 2θ = 39.72°, d = 2.269 Å, I 100
- 2θ = 43.03°, d = 2.102 Å, I 27
- 2θ = 58.51°, d = 1.578 Å, I 18
- 2θ = 61.46°, d = 1.509 Å, I 19
- 2θ = 64.83°, d = 1.438 Å, I 32

---

4.
The following is a computed powder X-ray diffraction pattern of YThHgRh. It was derived from a cell relaxed with GGA-PBE, using λ = 1.5418 Å (Cu Kα).

Cell and atoms:
a b c (Å): 8.0339 8.0339 8.0339
angles (deg): 29.27 29.27 29.27
Positions (direct):
Y: 0.0000 0.0000 0.0000
Th: 0.8033 0.8033 0.8033
Hg: 0.2387 0.2387 0.2387
Rh: 0.4043 0.4043 0.4043

Most intense lines, 2θ = 15–90°, low angle first:
- 2θ = 26.50°, d = 3.363 Å, I 57
- 2θ = 29.76°, d = 3.002 Å, I 31
- 2θ = 32.01°, d = 2.796 Å, I 100
- 2θ = 37.41°, d = 2.404 Å, I 44
- 2θ = 44.64°, d = 2.030 Å, I 54
- 2θ = 47.14°, d = 1.928 Å, I 13
- 2θ = 55.98°, d = 1.643 Å, I 21
- 2θ = 57.97°, d = 1.591 Å, I 16
- 2θ = 67.08°, d = 1.395 Å, I 16
- 2θ = 74.27°, d = 1.277 Å, I 18